No. 1
For Sc2Ti2Ge2N, a structure optimized by DFT (PBE) gives the calculated XRD peak list in this record (Cu Ka).

Principal peaks in the range 2θ from 10° to 80°, sorted by position:
| two_theta | intensity |
| --- | --- |
| 31.33 | 34 |
| 33.81 | 46 |
| 37.76 | 27 |
| 38.59 | 19 |
| 40.44 | 100 |
| 44.90 | 57 |
| 60.07 | 25 |
| 65.37 | 17 |
| 74.22 | 17 |
| 79.76 | 25 |

Cell and atoms:
```
7
Lattice="-2.0188 2.0188 7.1473 2.0188 -2.0188 7.1473 2.0188 2.0188 -7.1473" Properties=species:S:1:pos:R:3 pbc="T T T"
Sc 0.0000 0.0000 2.3385
Sc 0.0000 0.0000 11.9562
Ti 2.0188 0.0000 0.0000
Ti 0.0000 2.0188 0.0000
Ge 0.0000 0.0000 5.1951
Ge 0.0000 0.0000 9.0996
N 0.0000 0.0000 0.0000
```

***

No. 2
For Ce2ThPN5, a structure optimized by DFT (PBE) gives the calculated XRD peak list in this record (Cu Ka).

Principal peaks in the range 2θ from 10° to 80°, sorted by position:
| two_theta | intensity |
| --- | --- |
| 24.97 | 42 |
| 31.74 | 100 |
| 34.65 | 31 |
| 39.08 | 17 |
| 43.91 | 24 |
| 44.76 | 19 |
| 51.23 | 15 |
| 55.23 | 18 |
| 56.61 | 15 |
| 62.67 | 13 |

Cell and atoms:
```
18
Lattice="6.5198 0.0000 0.0000 0.0000 6.5198 0.0000 0.0000 0.0000 5.6273" Properties=species:S:1:pos:R:3 pbc="T T T"
Ce 1.1429 2.1169 0.0000
Ce 2.1169 5.3768 0.0000
Ce 4.4028 1.1429 0.0000
Ce 5.3768 4.4028 0.0000
Th 0.0000 0.0000 2.8136
Th 3.2599 3.2599 2.8136
P 0.0000 3.2599 2.8136
P 3.2599 0.0000 2.8136
N 0.0000 0.0000 0.0000
N 0.9003 4.1602 1.5862
N 0.9003 4.1602 4.0410
N 2.3596 0.9003 1.5862
N 2.3596 0.9003 4.0410
N 3.2599 3.2599 0.0000
N 4.1602 5.6195 1.5862
N 4.1602 5.6195 4.0410
N 5.6195 2.3596 1.5862
N 5.6195 2.3596 4.0410
```

***

No. 3
For ZnIO4, a structure optimized by DFT (PBE) gives the calculated XRD peak list in this record (Cu Ka).

Principal peaks in the range 2θ from 10° to 80°, sorted by position:
| two_theta | intensity |
| --- | --- |
| 18.59 | 24 |
| 25.29 | 75 |
| 27.48 | 58 |
| 33.28 | 100 |
| 37.66 | 40 |
| 49.89 | 49 |
| 51.93 | 11 |
| 52.38 | 39 |
| 56.46 | 11 |
| 65.25 | 27 |

Cell and atoms:
```
6
Lattice="3.2461 -3.5215 0.0000 3.2461 3.5215 0.0000 0.0000 0.0000 3.2597" Properties=species:S:1:pos:R:3 pbc="T T T"
Zn 0.0000 0.0000 0.0000
I 3.2461 0.0000 1.6299
O 1.2963 0.0000 1.6299
O 3.2461 1.2890 0.0000
O 3.2461 -1.2890 0.0000
O 5.1959 0.0000 1.6299
```

***

No. 4
For NdMnTc, a structure optimized by DFT (PBE) gives the calculated XRD peak list in this record (Cu Ka).

Principal peaks in the range 2θ from 10° to 80°, sorted by position:
| two_theta | intensity |
| --- | --- |
| 18.77 | 21 |
| 26.66 | 59 |
| 33.68 | 30 |
| 36.21 | 100 |
| 38.06 | 36 |
| 41.20 | 11 |
| 43.46 | 14 |
| 45.64 | 18 |
| 51.68 | 12 |
| 53.54 | 27 |

Cell and atoms:
```
12
Lattice="6.6875 0.0000 0.0000 0.0000 6.6875 0.0000 0.0000 0.0000 5.8283" Properties=species:S:1:pos:R:3 pbc="T T T"
Nd 1.6076 1.6076 0.0000
Nd 1.7361 4.9513 1.4571
Nd 4.9513 1.7361 4.3712
Nd 5.0798 5.0798 2.9142
Mn 0.4161 0.4161 2.9142
Mn 2.9276 3.7599 4.3712
Mn 3.7599 2.9276 1.4571
Mn 6.2713 6.2713 0.0000
Tc 1.2262 5.4613 4.3712
Tc 2.1176 2.1176 2.9142
Tc 4.5699 4.5699 0.0000
Tc 5.4613 1.2262 1.4571
```

***

No. 5
For SrMgSiAu6, a structure optimized by DFT (PBE) gives the calculated XRD peak list in this record (Cu Ka).

Principal peaks in the range 2θ from 10° to 80°, sorted by position:
| two_theta | intensity |
| --- | --- |
| 25.98 | 16 |
| 31.12 | 100 |
| 36.15 | 22 |
| 37.70 | 48 |
| 37.81 | 44 |
| 41.22 | 29 |
| 42.95 | 14 |
| 45.60 | 18 |
| 50.66 | 15 |
| 57.16 | 23 |

Cell and atoms:
```
18
Lattice="-3.6050 4.7590 5.5151 3.6050 -4.7590 5.5151 3.6050 4.7590 -5.5151" Properties=species:S:1:pos:R:3 pbc="T T T"
Sr 0.0000 2.3795 2.4813
Sr 3.6050 2.3795 3.0339
Mg 1.8025 2.3795 -2.7576
Mg 1.8025 -2.3795 2.7576
Si 0.0000 0.0000 0.0000
Si 0.0000 4.7590 0.0000
Au 2.1336 0.0437 1.4000
Au 5.0763 0.0437 1.4000
Au 3.6050 -2.3795 4.8423
Au 3.6050 2.3795 -0.4376
Au 2.1336 4.8027 -1.4000
Au 1.4713 0.0437 4.1152
Au 2.1336 4.7154 1.4000
Au 1.4713 -0.0437 6.9151
Au 0.0000 2.3795 5.9527
Au 0.0000 7.1386 0.6728
Au -1.4713 4.7154 4.1152
Au 1.4713 4.7154 4.1152
```

***

No. 6
For Na3Ag3PbBr8, a structure optimized by DFT (PBE) gives the calculated XRD peak list in this record (Cu Ka).

Principal peaks in the range 2θ from 10° to 80°, sorted by position:
| two_theta | intensity |
| --- | --- |
| 12.78 | 58 |
| 24.65 | 14 |
| 24.76 | 24 |
| 29.77 | 51 |
| 29.94 | 100 |
| 42.66 | 37 |
| 42.79 | 55 |
| 42.94 | 18 |
| 53.12 | 29 |
| 70.35 | 16 |

Cell and atoms:
```
15
Lattice="7.3256 -4.2121 0.0000 7.3256 4.2121 0.0000 -4.8497 0.0000 6.9287" Properties=species:S:1:pos:R:3 pbc="T T T"
Na 0.0000 0.0000 0.0000
Na 3.6628 2.1060 0.0000
Na 3.6628 -2.1060 0.0000
Ag 1.2380 2.1060 3.4644
Ag 1.2380 -2.1060 3.4644
Ag 4.9008 0.0000 3.4644
Pb -2.4249 0.0000 3.4644
Br 2.4326 0.0000 1.8294
Br 0.0779 0.0000 5.1786
Br 3.6735 2.0526 5.1940
Br 6.1281 2.0526 1.7347
Br 3.6735 -2.0526 5.1940
Br 6.1281 -2.0526 1.7347
Br 9.7236 0.0000 1.7501
Br 7.3689 0.0000 5.0994
```

***

No. 7
For La5Tb2CeNd, a structure optimized by DFT (PBE) gives the calculated XRD peak list in this record (Cu Ka).

Principal peaks in the range 2θ from 10° to 80°, sorted by position:
| two_theta | intensity |
| --- | --- |
| 25.84 | 32 |
| 28.74 | 100 |
| 30.50 | 35 |
| 30.74 | 85 |
| 34.20 | 24 |
| 35.55 | 13 |
| 38.40 | 27 |
| 45.11 | 24 |
| 49.31 | 19 |
| 49.80 | 16 |

Cell and atoms:
```
18
Lattice="8.2912 0.0000 0.0000 0.0000 8.2912 0.0000 0.0000 0.0000 9.3778" Properties=species:S:1:pos:R:3 pbc="T T T"
La 0.0000 0.0000 0.0000
La 1.5778 2.5678 2.5578
La 1.5778 2.5678 6.8200
La 2.5678 6.7134 2.5578
La 2.5678 6.7134 6.8200
La 4.1456 4.1456 0.0000
La 5.7234 1.5778 2.5578
La 5.7234 1.5778 6.8200
La 6.7134 5.7234 2.5578
La 6.7134 5.7234 6.8200
Tb 1.0715 5.2171 0.0000
Tb 3.0740 1.0715 0.0000
Tb 5.2171 7.2196 0.0000
Tb 7.2196 3.0740 0.0000
Ce 0.0000 4.1456 4.6889
Ce 4.1456 0.0000 4.6889
Nd 0.0000 0.0000 4.6889
Nd 4.1456 4.1456 4.6889
```

***

No. 8
For AgIrAuC, a structure optimized by DFT (PBE) gives the calculated XRD peak list in this record (Cu Ka).

Principal peaks in the range 2θ from 10° to 80°, sorted by position:
| two_theta | intensity |
| --- | --- |
| 24.55 | 9 |
| 34.52 | 100 |
| 37.20 | 23 |
| 40.88 | 55 |
| 57.35 | 23 |
| 60.97 | 13 |
| 68.69 | 14 |
| 70.33 | 14 |
| 70.43 | 7 |
| 72.77 | 7 |

Cell and atoms:
```
4
Lattice="3.2126 0.0000 0.0000 1.6052 2.7836 0.0000 0.0088 0.0131 7.2508" Properties=species:S:1:pos:R:3 pbc="T T T"
Ag 0.0000 0.0000 0.0000
Ir 3.2111 1.8545 2.2756
Au 1.6146 0.9408 5.0337
C 1.6047 0.9261 2.8162
```

***

No. 9
For Pu5Ga3Pb3, a structure optimized by DFT (PBE) gives the calculated XRD peak list in this record (Cu Ka).

Principal peaks in the range 2θ from 10° to 80°, sorted by position:
| two_theta | intensity |
| --- | --- |
| 29.71 | 100 |
| 33.34 | 82 |
| 35.89 | 30 |
| 39.01 | 15 |
| 41.60 | 17 |
| 45.25 | 36 |
| 53.01 | 17 |
| 55.08 | 16 |
| 67.33 | 21 |
| 69.30 | 14 |

Cell and atoms:
```
11
Lattice="10.4165 0.0000 0.0000 -5.2082 9.0209 0.0000 0.0000 0.0000 3.1373" Properties=species:S:1:pos:R:3 pbc="T T T"
Pu -3.4863 6.0385 0.0000
Pu 1.7219 2.9825 0.0000
Pu 0.0000 6.0140 0.0000
Pu 5.2082 3.0070 0.0000
Pu 6.9726 0.0000 0.0000
Ga -0.7580 1.3130 0.0000
Ga 1.5161 0.0000 0.0000
Ga 4.4502 7.7080 0.0000
Pb -2.0233 3.5044 1.5687
Pb 4.0466 0.0000 1.5687
Pb 3.1849 5.5165 1.5687
```

***

No. 10
For Zn2Ga2Cu7Au, a structure optimized by DFT (PBE) gives the calculated XRD peak list in this record (Cu Ka).

Principal peaks in the range 2θ from 10° to 80°, sorted by position:
| two_theta | intensity |
| --- | --- |
| 24.61 | 24 |
| 32.58 | 33 |
| 36.10 | 33 |
| 40.13 | 100 |
| 41.25 | 91 |
| 41.46 | 90 |
| 45.26 | 44 |
| 46.54 | 63 |
| 47.83 | 62 |
| 48.50 | 46 |

Cell and atoms:
```
12
Lattice="2.6341 -2.7485 0.0000 2.6341 2.7485 0.0000 -0.0596 0.0000 11.7070" Properties=species:S:1:pos:R:3 pbc="T T T"
Zn -0.0104 0.0000 2.1493
Zn 5.2189 0.0000 9.5578
Ga 2.6235 0.0000 2.1472
Ga 2.5851 0.0000 9.5599
Cu -0.0298 0.0000 5.8535
Cu 3.9309 -1.3735 3.9493
Cu 1.2777 1.3735 7.7577
Cu 1.2614 0.0000 11.7063
Cu 3.9309 1.3735 3.9493
Cu 1.2777 -1.3735 7.7577
Cu 3.9471 0.0000 0.0007
Au 2.6043 0.0000 5.8535
```

***

No. 11
For CeTlPt5, a structure optimized by DFT (PBE) gives the calculated XRD peak list in this record (Cu Ka).

Principal peaks in the range 2θ from 10° to 80°, sorted by position:
| two_theta | intensity |
| --- | --- |
| 33.35 | 20 |
| 35.44 | 100 |
| 37.09 | 24 |
| 38.11 | 28 |
| 39.98 | 45 |
| 41.25 | 37 |
| 41.49 | 81 |
| 42.44 | 32 |
| 42.64 | 39 |
| 60.97 | 22 |

Cell and atoms:
```
28
Lattice="8.9259 0.0000 0.0000 0.0000 5.3735 0.0000 0.0000 0.0000 11.2311" Properties=species:S:1:pos:R:3 pbc="T T T"
Ce 2.2145 1.3434 0.7579
Ce 2.2485 4.0301 6.3735
Ce 6.6774 1.3434 4.8576
Ce 6.7115 4.0301 10.4732
Tl 1.3183 4.0301 9.7022
Tl 3.1447 1.3434 4.0866
Tl 5.7813 4.0301 7.1445
Tl 7.6076 1.3434 1.5289
Pt 0.2736 4.0301 0.9722
Pt 0.5666 1.3434 5.6959
Pt 0.6117 0.0223 3.3404
Pt 0.6117 2.6644 3.3404
Pt 1.7161 1.3434 8.1294
Pt 2.7469 4.0301 2.5139
Pt 3.8513 2.7091 8.9559
Pt 3.8513 5.3512 8.9559
Pt 3.8964 4.0301 0.0803
Pt 4.1894 1.3434 6.5878
Pt 4.7365 4.0301 4.6434
Pt 5.0295 1.3434 11.1508
Pt 5.0747 0.0223 2.2752
Pt 5.0747 2.6644 2.2752
Pt 6.1790 1.3434 8.7173
Pt 7.2099 4.0301 3.1017
Pt 8.3142 2.7091 7.8908
Pt 8.3142 5.3512 7.8908
Pt 8.3594 4.0301 5.5353
Pt 8.6524 1.3434 10.2589
```

***

No. 12
For PrMg2ZnSn2, a structure optimized by DFT (PBE) gives the calculated XRD peak list in this record (Cu Ka).

Principal peaks in the range 2θ from 10° to 80°, sorted by position:
| two_theta | intensity |
| --- | --- |
| 10.19 | 75 |
| 23.75 | 21 |
| 24.77 | 36 |
| 30.61 | 29 |
| 31.74 | 38 |
| 32.52 | 100 |
| 36.55 | 73 |
| 38.61 | 44 |
| 50.81 | 21 |
| 68.54 | 17 |

Cell and atoms:
```
12
Lattice="4.6637 0.0000 0.0000 0.0000 8.6787 0.0000 0.0000 0.0000 7.4185" Properties=species:S:1:pos:R:3 pbc="T T T"
Pr 0.0000 0.3003 0.0000
Pr 0.0000 8.3784 3.7093
Mg 0.0000 3.0409 2.5064
Mg 0.0000 5.6379 6.2157
Mg 2.3319 3.5234 0.0027
Mg 2.3319 5.1553 3.7120
Zn 2.3319 1.4403 5.0673
Zn 2.3319 7.2384 1.3580
Sn 0.0000 2.9050 5.4396
Sn 0.0000 5.7737 1.7303
Sn 2.3319 1.3558 2.0677
Sn 2.3319 7.3229 5.7769
```